Record 1
This entry pairs a crystal structure of LaNd2Y2Er2 with its simulated X-ray diffraction stick pattern. Radiation: λ = 1.5418 Å (Cu Kα). Structure: a structure optimized by DFT (PBE).
No peak broadening, texture or thermal motion is included.

Structural model:
Unit cell a=11.841 b=3.540 c=11.903 alpha=90.00 beta=108.36 gamma=90.00
Space group C2/m (No. 12)
Unique sites:
La 0.000 0.000 0.000
Nd 0.173 0.500 0.585
Y 0.048 0.500 0.274
Er 0.226 0.000 0.863

The 10 most intense peaks (2θ = 10–90°), by intensity:
(1 1 2), d 2.784, 32.15 deg, intensity 100
(2 0 -4), d 2.919, 30.62 deg, intensity 86
(3 1 -2), d 2.560, 35.06 deg, intensity 81
(4 0 -1), d 2.953, 30.27 deg, intensity 72
(2 0 3), d 2.753, 32.53 deg, intensity 60
(1 1 1), d 3.154, 28.30 deg, intensity 56
(7 1 -3), d 1.518, 61.05 deg, intensity 43
(5 1 1), d 1.795, 50.88 deg, intensity 40
(3 1 -3), d 2.377, 37.84 deg, intensity 25
(3 1 5), d 1.540, 60.06 deg, intensity 25

Record 2
This entry pairs a crystal structure of MgHIr4 with its simulated X-ray diffraction stick pattern. Radiation: λ = 1.5418 Å (Cu Kα). Structure: a structure optimized by DFT (PBE).
No peak broadening, texture or thermal motion is included.

Structural model:
Unit cell a=8.822 b=3.919 c=6.222 alpha=90.00 beta=134.53 gamma=90.00
Space group Cm (No. 8)
Unique sites:
Mg 0.000 0.000 0.000
H 0.302 0.000 0.153
Ir 0.118 0.500 0.420
Ir 0.197 0.000 0.785
Ir 0.310 0.500 0.208
Ir 0.406 0.000 0.595

The 10 most intense peaks (2θ = 10–90°), by intensity:
(1 1 1), d 2.285, 39.43 deg, intensity 100
(3 1 -2), d 2.269, 39.73 deg, intensity 99
(4 0 -1), d 1.983, 45.75 deg, intensity 33
(0 2 0), d 1.960, 46.33 deg, intensity 33
(2 0 -3), d 1.973, 46.00 deg, intensity 32
(6 0 -4), d 1.391, 67.34 deg, intensity 32
(4 2 -1), d 1.394, 67.15 deg, intensity 21
(1 1 -1), d 3.321, 26.85 deg, intensity 19
(0 0 1), d 4.436, 20.02 deg, intensity 19
(3 3 -2), d 1.183, 81.37 deg, intensity 14